La4CdIr: theoretical powder diffractogram (copper Kα), based on the PBE geometry in the Materials Project.
No peak broadening, texture or thermal motion is included.

Main lines, low angle first (2θ from 10° to 80°):
2θ 10.71, I = 140
2θ 27.17, I = 116
2θ 30.61, I = 378
2θ 32.52, I = 1000
2θ 35.49, I = 376
2θ 48.90, I = 114
2θ 54.41, I = 389
2θ 55.63, I = 146
2θ 64.84, I = 123
2θ 67.74, I = 134

Structural model:
a b c (Å): 10.117 10.117 10.117
angles (deg): 60.00 60.00 60.00
Fractional coordinates of all 24 atoms:
La1 0.043 0.652 0.652
La2 0.061 0.061 0.439
La3 0.061 0.439 0.061
La4 0.061 0.439 0.439
La5 0.189 0.189 0.811
La6 0.189 0.811 0.189
La7 0.189 0.811 0.811
La8 0.439 0.061 0.061
La9 0.439 0.061 0.439
La10 0.439 0.439 0.061
La11 0.652 0.043 0.652
La12 0.652 0.652 0.043
La13 0.652 0.652 0.652
La14 0.811 0.189 0.189
La15 0.811 0.189 0.811
La16 0.811 0.811 0.189
Cd1 0.419 0.419 0.419
Cd2 0.419 0.419 0.743
Cd3 0.419 0.743 0.419
Cd4 0.743 0.419 0.419
Ir1 0.425 0.858 0.858
Ir2 0.858 0.425 0.858
Ir3 0.858 0.858 0.425
Ir4 0.858 0.858 0.858


Na3Cd2IrO6: theoretical powder diffractogram (copper Kα), based on the PBE geometry in the Materials Project.
No peak broadening, texture or thermal motion is included.

Main lines, low angle first (2θ from 10° to 80°):
2θ 16.47, I = 1000
2θ 31.31, I = 177
2θ 31.50, I = 346
2θ 32.87, I = 445
2θ 32.97, I = 215
2θ 33.29, I = 213
2θ 38.02, I = 310
2θ 38.43, I = 592
2θ 54.95, I = 189
2θ 55.38, I = 182

Structural model:
a b c (Å): 5.777 5.777 5.740
angles (deg): 100.03 100.03 119.80
Fractional coordinates of all 12 atoms:
Na1 0.000 0.000 0.000
Na2 0.336 0.664 0.000
Na3 0.664 0.336 0.000
Cd1 0.167 0.833 0.500
Cd2 0.833 0.167 0.500
Ir1 0.500 0.500 0.500
O1 0.141 0.430 0.285
O2 0.281 0.281 0.705
O3 0.430 0.141 0.285
O4 0.570 0.859 0.715
O5 0.719 0.719 0.295
O6 0.859 0.570 0.715


Copy entry 2 word for word.
Na3Cd2IrO6: theoretical powder diffractogram (copper Kα), based on the PBE geometry in the Materials Project.
No peak broadening, texture or thermal motion is included.

Main lines, low angle first (2θ from 10° to 80°):
2θ 16.47, I = 1000
2θ 31.31, I = 177
2θ 31.50, I = 346
2θ 32.87, I = 445
2θ 32.97, I = 215
2θ 33.29, I = 213
2θ 38.02, I = 310
2θ 38.43, I = 592
2θ 54.95, I = 189
2θ 55.38, I = 182

Structural model:
a b c (Å): 5.777 5.777 5.740
angles (deg): 100.03 100.03 119.80
Fractional coordinates of all 12 atoms:
Na1 0.000 0.000 0.000
Na2 0.336 0.664 0.000
Na3 0.664 0.336 0.000
Cd1 0.167 0.833 0.500
Cd2 0.833 0.167 0.500
Ir1 0.500 0.500 0.500
O1 0.141 0.430 0.285
O2 0.281 0.281 0.705
O3 0.430 0.141 0.285
O4 0.570 0.859 0.715
O5 0.719 0.719 0.295
O6 0.859 0.570 0.715


Repeat the second record exactly.
Na3Cd2IrO6: theoretical powder diffractogram (copper Kα), based on the PBE geometry in the Materials Project.
No peak broadening, texture or thermal motion is included.

Main lines, low angle first (2θ from 10° to 80°):
2θ 16.47, I = 1000
2θ 31.31, I = 177
2θ 31.50, I = 346
2θ 32.87, I = 445
2θ 32.97, I = 215
2θ 33.29, I = 213
2θ 38.02, I = 310
2θ 38.43, I = 592
2θ 54.95, I = 189
2θ 55.38, I = 182

Structural model:
a b c (Å): 5.777 5.777 5.740
angles (deg): 100.03 100.03 119.80
Fractional coordinates of all 12 atoms:
Na1 0.000 0.000 0.000
Na2 0.336 0.664 0.000
Na3 0.664 0.336 0.000
Cd1 0.167 0.833 0.500
Cd2 0.833 0.167 0.500
Ir1 0.500 0.500 0.500
O1 0.141 0.430 0.285
O2 0.281 0.281 0.705
O3 0.430 0.141 0.285
O4 0.570 0.859 0.715
O5 0.719 0.719 0.295
O6 0.859 0.570 0.715